K3RuF6: computed powder XRD pattern (Cu Kα), based on a DFT-relaxed cell (GGA-PBE, the Materials Project).
Peak positions follow from Bragg's law for the DFT cell and can differ from measured ones.

Most intense lines, 2θ from 10° to 90°, sorted by position:
Position (°2θ)	I_rel
17.0	41
19.7	36
28.0	100
40.0	56
49.5	35
57.8	31
65.4	18
79.5	19

Structural model:
```
K3RuF6
1.0
0.0000 4.5115 4.5115
4.5115 0.0000 4.5115
4.5115 4.5115 0.0000
K Ru F
3 1 6
direct
0.0000 0.0000 0.0000
0.2500 0.2500 0.2500
0.7500 0.7500 0.7500
0.5000 0.5000 0.5000
0.2760 0.2760 0.7240
0.2760 0.7240 0.2760
0.2760 0.7240 0.7240
0.7240 0.2760 0.2760
0.7240 0.2760 0.7240
0.7240 0.7240 0.2760
```